Record 1
Cs2As2Se6O: computed XRD peak list (Cu Kα), based on a crystal structure in the Materials Project, relaxed with PBE.
No peak broadening, texture or thermal motion is included.

Principal peaks in the range 10 to 90 degrees two-theta, low angle first:
index  d [Å]  two_theta  I (rel.)
1 1 2  3.646  24.41  100
5 1 -2  3.518  25.31  39
5 1 0  3.293  27.07  21
4 0 -4  3.118  28.63  61
0 2 0  2.895  30.89  55
7 1 -2  2.857  31.31  22
8 0 0  2.503  35.88  32
4 2 -4  2.122  42.62  35
4 0 4  2.009  45.12  13
3 1 -6  1.906  47.73  20
12 0 -4  1.899  47.91  14
8 2 0  1.893  48.05  24

a = 23.0048 Å, b = 5.7904 Å, c = 12.4916 Å
α = 90.00°, β = 119.51°, γ = 90.00°
Space group C2/c (No. 15)
Inequivalent atoms, fractional coordinates:
1 Cs 0.0770 0.0043 0.4466 x8
2 As 0.1796 0.4685 0.7853 x8
3 Se 0.0585 0.4607 0.6806 x8
4 Se 0.1877 0.0497 0.8126 x8
5 Se 0.1940 0.4985 0.6026 x8
6 O 0.0000 0.4192 0.2500 x4

=====

Record 2
Cs2UAs2O9: computed XRD peak list (Cu Kα), based on a crystal structure in the Materials Project, relaxed with PBE.
No peak broadening, texture or thermal motion is included.

Principal peaks in the range 10 to 90 degrees two-theta, low angle first:
index  d [Å]  two_theta  I (rel.)
0 0 1  6.481  13.66  20
0 2 1  4.667  19.02  19
2 0 1  4.625  19.19  19
2 2 1  3.811  23.34  100
1 3 1  3.552  25.07  53
3 1 1  3.514  25.34  52
0 0 2  3.241  27.52  38
2 4 0  2.997  29.82  33
4 2 0  2.963  30.16  28
2 4 2  2.200  41.02  22
4 2 2  2.187  41.28  22
0 6 1  2.120  42.64  17

a = 13.2028 Å, b = 13.4518 Å, c = 6.4814 Å
α = 90.00°, β = 90.00°, γ = 90.00°
Space group Pmmn (No. 59, origin choice 2)
Inequivalent atoms, fractional coordinates:
1 Cs 0.0728 0.2500 0.0088 x4
2 Cs 0.2500 0.5741 0.9895 x4
3 U 0.0000 0.0000 0.5000 x4
4 As 0.1257 0.7500 0.4849 x4
5 As 0.2500 0.1287 0.4912 x4
6 O 0.0501 0.5141 0.2396 x8
7 O 0.0700 0.6487 0.6027 x8
8 O 0.1311 0.7500 0.2283 x4
9 O 0.1452 0.0779 0.6102 x8
10 O 0.2500 0.1335 0.2344 x4
11 O 0.2500 0.2500 0.6117 x2
12 O 0.2500 0.7500 0.6052 x2

=====

Record 3
Cs2As2Pd: computed XRD peak list (Cu Kα), based on a crystal structure in the Materials Project, relaxed with PBE.
No peak broadening, texture or thermal motion is included.

Principal peaks in the range 10 to 90 degrees two-theta, low angle first:
index  d [Å]  two_theta  I (rel.)
0 2 0  7.661  11.55  22
1 1 0  6.509  13.60  22
2 0 0  3.595  24.76  26
1 3 1  3.503  25.43  100
0 0 2  3.239  27.54  22
2 2 1  2.907  30.76  58
1 5 0  2.819  31.74  24
1 3 2  2.557  35.10  27
0 6 2  2.006  45.21  16
1 3 3  1.917  47.42  18
3 1 2  1.912  47.57  20
3 5 0  1.888  48.20  25

a = 7.1903 Å, b = 15.3226 Å, c = 6.4788 Å
α = 90.00°, β = 90.00°, γ = 90.00°
Space group Cmcm (No. 63)
Inequivalent atoms, fractional coordinates:
1 Cs 0.0000 0.0840 0.2500 x4
2 Cs 0.0000 0.2922 0.7500 x4
3 As 0.1690 0.3997 0.2500 x8
4 Pd 0.0000 0.5000 0.0000 x4

=====

Record 4
Cs3AsSe4: computed XRD peak list (Cu Kα), based on a crystal structure in the Materials Project, relaxed with PBE.
No peak broadening, texture or thermal motion is included.

Principal peaks in the range 10 to 90 degrees two-theta, low angle first:
index  d [Å]  two_theta  I (rel.)
0 2 2  3.972  22.38  43
2 2 0  3.938  22.58  66
1 2 2  3.704  24.03  47
0 1 3  3.338  26.70  77
3 0 1  3.248  27.46  67
2 3 0  3.202  27.87  100
2 2 2  3.140  28.42  55
0 4 0  3.073  29.05  51
2 3 1  3.060  29.18  69
1 2 3  2.898  30.86  44
2 2 3  2.603  34.46  52
0 5 3  2.006  45.20  42

a = 10.2560 Å, b = 12.2961 Å, c = 10.4061 Å
α = 90.00°, β = 90.00°, γ = 90.00°
Space group Pnma (No. 62)
Inequivalent atoms, fractional coordinates:
1 Cs 0.0398 0.0443 0.2023 x8
2 Cs 0.1508 0.7500 0.4059 x4
3 As 0.2275 0.7500 0.9783 x4
4 Se 0.0171 0.7500 0.0717 x4
5 Se 0.1626 0.0906 0.5417 x8
6 Se 0.2100 0.7500 0.7526 x4

=====

Record 5
Cs2SnAs2Se9: computed XRD peak list (Cu Kα), based on a crystal structure in the Materials Project, relaxed with PBE.
No peak broadening, texture or thermal motion is included.

Principal peaks in the range 10 to 90 degrees two-theta, low angle first:
index  d [Å]  two_theta  I (rel.)
0 1 1  6.724  13.17  17
1 1 -1  6.116  14.48  21
0 2 2  3.362  26.51  100
2 0 -2  3.249  27.46  28
1 5 0  3.199  27.89  33
1 5 -1  3.174  28.11  15
2 2 0  3.152  28.31  32
2 3 0  2.940  30.41  23
1 6 -1  2.748  32.59  39
2 4 -2  2.643  33.92  17
1 4 -3  2.296  39.24  14
1 8 1  1.992  45.53  24

a = 7.4291 Å, b = 18.1971 Å, c = 7.9995 Å
α = 90.00°, β = 115.21°, γ = 90.00°
Space group P2_1 (No. 4)
Inequivalent atoms, fractional coordinates:
1 Cs 0.0851 0.0000 0.0168 x2
2 Cs 0.3077 0.7718 0.7422 x2
3 Sn 0.3227 0.3763 0.6184 x2
4 As 0.1909 0.5630 0.5640 x2
5 As 0.3618 0.1619 0.6594 x2
6 Se 0.0274 0.9618 0.4943 x2
7 Se 0.1875 0.3145 0.2724 x2
8 Se 0.1993 0.2563 0.7438 x2
9 Se 0.2555 0.1869 0.3271 x2
10 Se 0.2920 0.7037 0.1896 x2
11 Se 0.2985 0.8267 0.2923 x2
12 Se 0.3755 0.5597 0.9124 x2
13 Se 0.3973 0.4320 0.9640 x2
14 Se 0.4328 0.5012 0.4899 x2

=====

Record 6
Cs5SiAs3: computed XRD peak list (Cu Kα), based on a crystal structure in the Materials Project, relaxed with PBE.
No peak broadening, texture or thermal motion is included.

Principal peaks in the range 10 to 90 degrees two-theta, low angle first:
index  d [Å]  two_theta  I (rel.)
3 0 3  3.637  24.48  15
1 1 4  3.295  27.06  100
4 1 0  3.161  28.23  58
3 0 4  3.127  28.54  47
4 1 1  3.102  28.78  46
0 2 0  3.065  29.14  70
1 1 5  2.813  31.81  19
3 1 4  2.786  32.13  23
3 2 4  2.189  41.25  16
1 3 4  1.810  50.41  18
4 3 1  1.777  51.43  18
7 2 3  1.653  55.60  14

a = 14.7546 Å, b = 6.1289 Å, c = 16.2069 Å
α = 90.00°, β = 90.00°, γ = 90.00°
Space group Pnma (No. 62)
Inequivalent atoms, fractional coordinates:
1 Cs 0.0505 0.2500 0.1541 x4
2 Cs 0.0646 0.2500 0.4513 x4
3 Cs 0.1195 0.2500 0.6865 x4
4 Cs 0.1447 0.7500 0.0478 x4
5 Cs 0.2225 0.7500 0.7953 x4
6 Si 0.2398 0.7500 0.4339 x4
7 As 0.1045 0.2500 0.9118 x4
8 As 0.1362 0.7500 0.3258 x4
9 As 0.1926 0.7500 0.5705 x4

=====

Record 7
Cs2Te3As: computed XRD peak list (Cu Kα), based on a crystal structure in the Materials Project, relaxed with PBE.
No peak broadening, texture or thermal motion is included.

Principal peaks in the range 10 to 90 degrees two-theta, low angle first:
index  d [Å]  two_theta  I (rel.)
1 0 -2  5.850  15.14  19
1 2 1  3.689  24.13  24
3 0 -2  3.623  24.57  44
1 1 -3  3.584  24.85  34
1 1 2  3.545  25.12  49
2 1 -3  3.522  25.29  31
2 2 0  3.397  26.23  100
0 1 3  3.213  27.76  41
1 3 -2  2.811  31.84  49
4 0 0  2.405  37.39  22
5 1 -3  2.139  42.25  18
0 3 4  2.000  45.34  20

a = 11.0129 Å, b = 9.6148 Å, c = 11.7166 Å
α = 90.00°, β = 119.12°, γ = 90.00°
Space group P2_1/c (No. 14)
Inequivalent atoms, fractional coordinates:
1 Cs 0.2320 0.1088 0.0306 x4
2 Cs 0.2444 0.5894 0.1993 x4
3 Te 0.0279 0.7241 0.8333 x4
4 Te 0.1927 0.0050 0.3475 x4
5 Te 0.4978 0.7192 0.6080 x4
6 As 0.4557 0.6012 0.9272 x4